# Rb2LaBr6
Computed X-ray diffraction stick pattern, Cu Kα X-rays. Input: the PBE geometry in Alexandria.
Kinematic intensities with the Lorentz-polarization factor, no thermal factor.

Largest 6 diffraction maxima, by angle, 10° ≤ 2θ ≤ 90°:
2θ/deg  d/Å  I/Imax
11.53  7.676  47.5
27.67  3.224  100.0
30.06  2.972  66.2
35.11  2.556  43.7
36.36  2.471  56.6
52.91  1.731  39.4

Structure:
```
9
Lattice="4.6987 0.0000 0.0000 0.0000 7.6938 4.4218 0.0000 -7.6938 4.4218" Properties=species:S:1:pos:R:3 pbc="T T T"
Rb 0.0000 -5.1209 4.4218
Rb 0.0000 5.1209 4.4218
La 2.3493 0.0000 4.4433
Br 0.0000 -1.8047 3.3878
Br 0.0000 1.8047 3.3878
Br 0.0000 0.0000 6.5248
Br 2.3493 0.0000 1.3264
Br 2.3493 -2.7145 5.9786
Br 2.3493 2.7145 5.9786
```